Computed PXRD pattern
Compound: NaCa2HgO4
Radiation: λ = 1.5418 Å (Cu Kα)
Structure: a cell relaxed with GGA-PBE
Intensities are scaled so that the largest is 100.

Cell lengths 5.682, 3.547, 5.868 Å; angles 90.00, 105.57, 90.00 degrees
Atoms (fractional coordinates):
Na 0.000 0.000 0.000
Ca 0.500 0.000 0.500
Ca 0.500 0.500 0.000
Hg 0.000 0.500 0.500
O 0.250 0.500 0.284
O 0.281 0.000 0.778
O 0.719 0.000 0.222
O 0.750 0.500 0.716

Main lines, in order of rising 2θ (10 to 90 degrees two-theta):
2θ 15.7, intensity 82.1; 2θ 16.2, intensity 39.6; 2θ 19.3, intensity 51.5; 2θ 30.0, intensity 38.7; 2θ 31.7, intensity 31.1; 2θ 31.9, intensity 58.9; 2θ 32.7, intensity 28.0; 2θ 36.1, intensity 100.0; 2θ 39.2, intensity 39.4; 2θ 53.6, intensity 29.1

Computed PXRD pattern
Compound: InOs3F
Radiation: λ = 1.5418 Å (Cu Kα)
Structure: a cell relaxed with GGA-PBE
Intensities are scaled so that the largest is 100.

Cell lengths 4.288, 4.288, 4.288 Å; angles 90.00, 90.00, 90.00 degrees
Atoms (fractional coordinates):
In 0.000 0.000 0.000
Os 0.000 0.500 0.500
Os 0.500 0.000 0.500
Os 0.500 0.500 0.000
F 0.500 0.500 0.500

Main lines, in order of rising 2θ (10 to 90 degrees two-theta):
2θ 20.7, intensity 5.7; 2θ 29.5, intensity 1.4; 2θ 36.3, intensity 100.0; 2θ 42.2, intensity 55.6; 2θ 47.4, intensity 2.6; 2θ 52.3, intensity 0.7; 2θ 61.1, intensity 37.0; 2θ 65.3, intensity 1.3; 2θ 73.2, intensity 39.8; 2θ 77.0, intensity 12.6

Computed PXRD pattern
Compound: Ac12Ge6Os
Radiation: λ = 1.5418 Å (Cu Kα)
Structure: a cell relaxed with GGA-PBE
Intensities are scaled so that the largest is 100.

Cell lengths 9.121, 9.121, 9.121 Å; angles 99.25, 99.25, 99.25 degrees
Atoms (fractional coordinates):
Ac 0.038 0.683 0.930
Ac 0.070 0.962 0.317
Ac 0.185 0.426 0.567
Ac 0.317 0.070 0.962
Ac 0.426 0.567 0.185
Ac 0.433 0.815 0.574
Ac 0.567 0.185 0.426
Ac 0.574 0.433 0.815
Ac 0.683 0.930 0.038
Ac 0.815 0.574 0.433
Ac 0.930 0.038 0.683
Ac 0.962 0.317 0.070
Ge 0.129 0.624 0.302
Ge 0.302 0.129 0.624
Ge 0.376 0.698 0.871
Ge 0.624 0.302 0.129
Ge 0.698 0.871 0.376
Ge 0.871 0.376 0.698
Os 0.000 0.000 0.000

Main lines, in order of rising 2θ (10 to 90 degrees two-theta):
2θ 20.1, intensity 21.4; 2θ 20.7, intensity 21.3; 2θ 23.9, intensity 100.0; 2θ 28.4, intensity 34.6; 2θ 30.1, intensity 66.8; 2θ 33.9, intensity 74.1; 2θ 34.1, intensity 74.1; 2θ 48.9, intensity 25.3; 2θ 49.5, intensity 24.5; 2θ 64.7, intensity 18.7